Structure and simulated powder X-ray diffraction pattern of Na3TaF6 (a crystal structure in the Materials Project, relaxed with PBE; Cu Kα (weighted mean of Kα1 and Kα2)).
No peak broadening, texture or thermal motion is included.

Most intense lines, 2θ = 5–70°, low angle first:
2θ 17.9, I 100
2θ 20.7, I 79
2θ 29.4, I 79
2θ 34.7, I 52
2θ 42.1, I 44
2θ 46.1, I 21
2θ 47.4, I 34
2θ 52.2, I 33
2θ 55.6, I 21
2θ 61.1, I 26

Structure:
```
data_Na3TaF6
_symmetry_space_group_name_H-M 'P 1'
_symmetry_Int_Tables_number 1
_symmetry_space_group_name_Hall 'P 1'
_cell_length_a 6.0697
_cell_length_b 6.0697
_cell_length_c 6.0697
_cell_angle_alpha 60.00
_cell_angle_beta 60.00
_cell_angle_gamma 60.00
loop_
_atom_site_label
_atom_site_type_symbol
_atom_site_fract_x
_atom_site_fract_y
_atom_site_fract_z
_atom_site_occupancy
Na1 Na 0.0000 0.0000 0.0000 1
Na2 Na 0.2500 0.2500 0.2500 1
Na3 Na 0.7500 0.7500 0.7500 1
Ta1 Ta 0.5000 0.5000 0.5000 1
F1 F 0.2602 0.2602 0.7398 1
F2 F 0.2602 0.7398 0.2602 1
F3 F 0.2602 0.7398 0.7398 1
F4 F 0.7398 0.2602 0.2602 1
F5 F 0.7398 0.2602 0.7398 1
F6 F 0.7398 0.7398 0.2602 1
```